Starting from a GGA+U-relaxed structure, the powder diffractogram of Ba2V2CuClO7 was calculated for Cu Kα (λ = 1.5418 Å).
No peak broadening, texture or thermal motion is included.

```
data_Ba2V2CuClO7
_chemical_formula_sum 'Ba4 V4 Cu2 Cl2 O14'
_space_group_name_H-M_alt 'P 1'
_space_group_IT_number 1
_space_group_name_Hall 'P 1'
_cell_length_a 9.086
_cell_length_b 9.086
_cell_length_c 5.551
_cell_angle_alpha 90.00
_cell_angle_beta 90.00
_cell_angle_gamma 90.00
loop_
_atom_site_label
_atom_site_fract_x
_atom_site_fract_y
_atom_site_fract_z
_atom_site_occupancy
Ba1 0.179 0.321 0.000 1
Ba2 0.321 0.821 0.000 1
Ba3 0.679 0.179 0.000 1
Ba4 0.821 0.679 0.000 1
V1 0.131 0.631 0.547 1
V2 0.369 0.131 0.547 1
V3 0.631 0.869 0.547 1
V4 0.869 0.369 0.547 1
Cu1 0.000 0.000 0.594 1
Cu2 0.500 0.500 0.594 1
Cl1 0.000 0.000 0.157 1
Cl2 0.500 0.500 0.157 1
O1 0.000 0.500 0.683 1
O2 0.088 0.798 0.671 1
O3 0.129 0.629 0.233 1
O4 0.202 0.088 0.671 1
O5 0.298 0.588 0.671 1
O6 0.371 0.129 0.233 1
O7 0.412 0.298 0.671 1
O8 0.500 0.000 0.683 1
O9 0.588 0.702 0.671 1
O10 0.629 0.871 0.233 1
O11 0.702 0.412 0.671 1
O12 0.798 0.912 0.671 1
O13 0.871 0.371 0.233 1
O14 0.912 0.202 0.671 1
```

Largest 10 diffraction maxima, in order of rising 2θ, 10 to 80 degrees two-theta:
2θ 25.33, 3.516 Å, I 33; 2θ 27.20, 3.279 Å, I 100; 2θ 27.77, 3.212 Å, I 14; 2θ 31.13, 2.873 Å, I 31; 2θ 32.24, 2.776 Å, I 17; 2θ 39.31, 2.292 Å, I 16; 2θ 40.96, 2.204 Å, I 16; 2θ 44.22, 2.048 Å, I 19; 2θ 45.42, 1.997 Å, I 23; 2θ 54.07, 1.696 Å, I 13